No. 1
Theoretical XRD peak list
Compound: Ce3In4Ge
Radiation: Cu Kα (λ = 1.5418 Å)
Structure: a PBE-relaxed structure

Largest 12 diffraction maxima, low angle first, 2θ from 15° to 90°:
- (2 2 0), 2θ = 30.34°, 2.946 Å, I = 10
- (0 0 4), 2θ = 30.96°, 2.888 Å, I = 9
- (2 1 3), 2θ = 33.46°, 2.678 Å, I = 100
- (3 1 0), 2θ = 34.03°, 2.635 Å, I = 60
- (3 3 0), 2θ = 46.23°, 1.964 Å, I = 8
- (3 1 4), 2θ = 46.66°, 1.946 Å, I = 13
- (4 2 0), 2θ = 48.89°, 1.863 Å, I = 8
- (4 1 3), 2θ = 51.04°, 1.789 Å, I = 13
- (5 2 3), 2θ = 64.96°, 1.436 Å, I = 20
- (4 0 6), 2θ = 66.08°, 1.414 Å, I = 7
- (6 0 0), 2θ = 67.45°, 1.389 Å, I = 7
- (3 3 6), 2θ = 68.21°, 1.375 Å, I = 9

Structure:
a = 8.3316 Å, b = 8.3316 Å, c = 11.5530 Å
α = 90.00°, β = 90.00°, γ = 90.00°
Space group I4/mcm (No. 140)
Inequivalent atoms, fractional coordinates:
Ce1 0.0000 0.0000 0.2500 [4 per cell]
Ce2 0.1632 0.3368 0.0000 [8 per cell]
In1 0.1443 0.3557 0.3183 [16 per cell]
Ge1 0.0000 0.0000 0.0000 [4 per cell]

No. 2
Theoretical XRD peak list
Compound: Li2Ce2Ge3
Radiation: Cu Kα (λ = 1.5418 Å)
Structure: a PBE-relaxed structure

Largest 12 diffraction maxima, low angle first, 2θ from 15° to 90°:
- (0 4 1), 2θ = 23.03°, 3.862 Å, I = 13
- (1 3 0), 2θ = 24.60°, 3.619 Å, I = 17
- (0 0 2), 2θ = 25.90°, 3.440 Å, I = 21
- (0 6 1), 2θ = 31.56°, 2.835 Å, I = 20
- (1 1 2), 2θ = 33.27°, 2.693 Å, I = 77
- (1 5 1), 2θ = 33.95°, 2.641 Å, I = 100
- (2 0 0), 2θ = 40.54°, 2.225 Å, I = 30
- (0 4 3), 2θ = 43.99°, 2.058 Å, I = 19
- (0 10 0), 2θ = 48.77°, 1.867 Å, I = 15
- (0 6 3), 2θ = 49.37°, 1.846 Å, I = 14
- (2 4 3), 2θ = 61.36°, 1.511 Å, I = 14
- (1 5 5), 2θ = 76.88°, 1.240 Å, I = 13

Structure:
a = 4.4498 Å, b = 18.6645 Å, c = 6.8806 Å
α = 90.00°, β = 90.00°, γ = 90.00°
Space group Cmcm (No. 63)
Inequivalent atoms, fractional coordinates:
Li1 0.0000 0.1910 0.0624 [8 per cell]
Ce1 0.0000 0.3435 0.2500 [4 per cell]
Ce2 0.0000 0.4496 0.7500 [4 per cell]
Ge1 0.0000 0.0631 0.5648 [8 per cell]
Ge2 0.0000 0.2796 0.7500 [4 per cell]

No. 3
Theoretical XRD peak list
Compound: LiCeGe2
Radiation: Cu Kα (λ = 1.5418 Å)
Structure: a PBE-relaxed structure

Largest 12 diffraction maxima, low angle first, 2θ from 15° to 90°:
- (2 0 0), 2θ = 22.58°, 3.937 Å, I = 31
- (1 0 3), 2θ = 27.54°, 3.239 Å, I = 38
- (2 1 0), 2θ = 31.98°, 2.799 Å, I = 100
- (0 1 3), 2θ = 33.82°, 2.651 Å, I = 52
- (2 0 3), 2θ = 33.99°, 2.638 Å, I = 26
- (1 1 3), 2θ = 35.74°, 2.512 Å, I = 83
- (2 1 3), 2θ = 41.05°, 2.199 Å, I = 18
- (3 1 1), 2θ = 42.10°, 2.146 Å, I = 27
- (3 0 3), 2θ = 42.83°, 2.111 Å, I = 27
- (0 2 0), 2θ = 45.59°, 1.990 Å, I = 32
- (2 1 4), 2θ = 47.09°, 1.930 Å, I = 23
- (1 1 6), 2θ = 58.06°, 1.589 Å, I = 22

Structure:
a = 7.8745 Å, b = 3.9798 Å, c = 10.6598 Å
α = 90.00°, β = 90.00°, γ = 90.00°
Space group Pnma (No. 62)
Inequivalent atoms, fractional coordinates:
Li1 0.0126 0.2500 0.1059 [4 per cell]
Ce1 0.1347 0.7500 0.3649 [4 per cell]
Ge1 0.1574 0.7500 0.6892 [4 per cell]
Ge2 0.2295 0.7500 0.0648 [4 per cell]

No. 4
Theoretical XRD peak list
Compound: Li2CeGe
Radiation: Cu Kα (λ = 1.5418 Å)
Structure: a PBE-relaxed structure

Largest 12 diffraction maxima, low angle first, 2θ from 15° to 90°:
- (1 0 0), 2θ = 21.43°, 4.146 Å, I = 42
- (1 0 1), 2θ = 24.59°, 3.621 Å, I = 24
- (1 0 2), 2θ = 32.35°, 2.767 Å, I = 100
- (1 1 0), 2θ = 37.58°, 2.394 Å, I = 55
- (1 0 3), 2θ = 42.51°, 2.127 Å, I = 8
- (2 0 2), 2θ = 50.41°, 1.810 Å, I = 29
- (1 0 4), 2θ = 54.09°, 1.695 Å, I = 9
- (1 1 4), 2θ = 63.37°, 1.468 Å, I = 19
- (2 1 2), 2θ = 64.54°, 1.444 Å, I = 27
- (3 0 0), 2θ = 67.79°, 1.382 Å, I = 14
- (2 2 0), 2θ = 80.17°, 1.197 Å, I = 11
- (3 1 2), 2θ = 89.15°, 1.098 Å, I = 12

Structure:
a = 4.7871 Å, b = 4.7871 Å, c = 7.4319 Å
α = 90.00°, β = 90.00°, γ = 120.00°
Space group P6_3/mmc (No. 194)
Inequivalent atoms, fractional coordinates:
Li1 0.3333 0.6667 0.1052 [4 per cell]
Ce1 0.0000 0.0000 0.0000 [2 per cell]
Ge1 0.3333 0.6667 0.7500 [2 per cell]